Entry 1:
Diffraction record for SmDyBr4. The powder XRD pattern is computed, not measured: it uses a structure optimized by DFT (GGA-PBE) and Cu Kα (λ = 1.5418 Å).
No peak broadening, texture or thermal motion is included.

Principal peaks in the range 10 to 90 degrees two-theta, sorted by position:
- (0 2 0), d = 8.694 Å, 10.2°, I = 100.0
- (0 2 1), d = 4.812 Å, 18.4°, I = 36.2
- (2 2 0), d = 3.056 Å, 29.2°, I = 30.8
- (2 4 -1), d = 2.925 Å, 30.6°, I = 96.6
- (0 0 2), d = 2.889 Å, 30.9°, I = 53.0
- (2 4 -3), d = 2.056 Å, 44.1°, I = 69.8
- (4 0 -2), d = 1.978 Å, 45.9°, I = 16.6
- (0 8 2), d = 1.737 Å, 52.7°, I = 19.4

Atomic structure:
a b c (Å): 7.910 17.389 6.997
angles (deg): 90.00 124.33 90.00
Space group C2/c (No. 15)
One atom of each set of equivalent atoms:
Sm 0.000 0.054 0.250 [4 per cell]
Dy 0.000 0.444 0.750 [4 per cell]
Br 0.239 0.427 0.244 [8 per cell]
Br 0.247 0.328 0.754 [8 per cell]

***

Entry 2:
Diffraction record for DyTlSn2Br8. The powder XRD pattern is computed, not measured: it uses a structure optimized by DFT (GGA-PBE) and Cu Kα (λ = 1.5418 Å).
No peak broadening, texture or thermal motion is included.

Principal peaks in the range 10 to 90 degrees two-theta, sorted by position:
- (1 1 0), d = 5.025 Å, 17.7°, I = 100.0
- (1 -1 0), d = 4.922 Å, 18.0°, I = 91.7
- (1 0 -2), d = 3.786 Å, 23.5°, I = 85.4
- (1 -1 2), d = 3.339 Å, 26.7°, I = 79.8
- (2 1 2), d = 2.574 Å, 34.8°, I = 42.4
- (-2 1 2), d = 2.544 Å, 35.3°, I = 83.2
- (0 0 4), d = 2.273 Å, 39.7°, I = 45.5
- (0 3 -2), d = 2.130 Å, 42.4°, I = 77.6

Atomic structure:
a b c (Å): 6.847 7.237 9.090
angles (deg): 89.90 89.91 88.82
Space group P-1 (No. 2)
One atom of each set of equivalent atoms:
Dy 0.000 0.000 0.000 [1 per cell]
Tl 0.000 0.000 0.500 [1 per cell]
Sn 0.500 0.500 0.251 [2 per cell]
Br 0.238 0.318 0.000 [2 per cell]
Br 0.242 0.842 0.218 [2 per cell]
Br 0.242 0.842 0.781 [2 per cell]
Br 0.274 0.368 0.501 [2 per cell]

***

Entry 3:
Diffraction record for SrDyBr5. The powder XRD pattern is computed, not measured: it uses a structure optimized by DFT (GGA-PBE) and Cu Kα (λ = 1.5418 Å).
No peak broadening, texture or thermal motion is included.

Principal peaks in the range 10 to 90 degrees two-theta, sorted by position:
- (1 0 -1), d = 7.487 Å, 11.8°, I = 100.0
- (1 1 2), d = 3.327 Å, 26.8°, I = 24.8
- (2 0 3), d = 3.036 Å, 29.4°, I = 45.8
- (1 1 -3), d = 3.004 Å, 29.7°, I = 23.6
- (2 1 -2), d = 2.827 Å, 31.6°, I = 22.9
- (1 1 -4), d = 2.617 Å, 34.3°, I = 16.2
- (0 0 6), d = 2.318 Å, 38.9°, I = 17.3
- (0 2 0), d = 2.158 Å, 41.9°, I = 38.1

Atomic structure:
a b c (Å): 8.545 4.314 13.928
angles (deg): 90.00 93.70 90.00
Space group P2_1/m (No. 11)
One atom of each set of equivalent atoms:
Sr 0.089 0.250 0.143 [2 per cell]
Dy 0.422 0.750 0.352 [2 per cell]
Br 0.091 0.750 0.322 [2 per cell]
Br 0.145 0.250 0.925 [2 per cell]
Br 0.327 0.250 0.482 [2 per cell]
Br 0.363 0.750 0.147 [2 per cell]
Br 0.384 0.750 0.698 [2 per cell]

***

Entry 4:
Diffraction record for Dy2Tl3Br9. The powder XRD pattern is computed, not measured: it uses a structure optimized by DFT (GGA-PBE) and Cu Kα (λ = 1.5418 Å).
No peak broadening, texture or thermal motion is included.

Principal peaks in the range 10 to 90 degrees two-theta, sorted by position:
- (0 1 2), d = 7.540 Å, 11.7°, I = 28.1
- (1 1 3), d = 4.721 Å, 18.8°, I = 21.1
- (3 0 0), d = 3.971 Å, 22.4°, I = 31.1
- (0 0 6), d = 3.247 Å, 27.5°, I = 26.8
- (2 2 3), d = 3.039 Å, 29.4°, I = 100.0
- (3 2 4), d = 2.384 Å, 37.7°, I = 19.7
- (2 2 6), d = 2.361 Å, 38.1°, I = 36.4
- (2 2 9), d = 1.832 Å, 49.8°, I = 23.2

Atomic structure:
a b c (Å): 13.7552 13.7552 19.4793
angles (deg): 90.00 90.00 120.00
Space group R-3c (No. 167, hexagonal axes)
One atom of each set of equivalent atoms:
Dy 0.0000 0.0000 0.1472 [12 per cell]
Tl 0.0000 0.2887 0.2500 [18 per cell]
Br 0.0000 0.1547 0.7500 [18 per cell]
Br 0.0244 0.1904 0.4110 [36 per cell]